1.
Starting from a PBE-relaxed structure, the X-ray diffraction stick pattern of HgSb3Pb6 was simulated for Cu Kα (λ = 1.5418 Å).
Neutral-atom scattering factors, no anomalous dispersion.

```
data_HgSb3Pb6
_chemical_formula_sum 'Hg2 Sb6 Pb12'
_symmetry_space_group_name_H-M 'P 1 21/m 1'
_symmetry_Int_Tables_number 11
_symmetry_space_group_name_Hall '-P 2yb'
_cell_length_a 11.335
_cell_length_b 4.075
_cell_length_c 13.567
_cell_angle_alpha 90.00
_cell_angle_beta 98.77
_cell_angle_gamma 90.00
loop_
_atom_site_label
_atom_site_fract_x
_atom_site_fract_y
_atom_site_fract_z
Hg1 0.097 0.250 0.466
Sb1 0.132 0.750 0.949
Sb2 0.279 0.250 0.855
Sb3 0.469 0.250 0.256
Pb1 0.002 0.250 0.724
Pb2 0.159 0.250 0.141
Pb3 0.229 0.750 0.665
Pb4 0.300 0.750 0.353
Pb5 0.405 0.250 0.553
Pb6 0.424 0.750 0.074
```

The 6 most intense peaks (15° ≤ 2θ ≤ 90°), by intensity:
- (1 1 -3), d = 2.986 Å, 29.93 deg, I 1000
- (3 1 1), d = 2.639 Å, 33.97 deg, I 614
- (4 0 -2), d = 2.737 Å, 32.72 deg, I 318
- (2 0 4), d = 2.701 Å, 33.17 deg, I 318
- (0 2 0), d = 2.037 Å, 44.47 deg, I 186
- (2 0 -6), d = 2.194 Å, 41.14 deg, I 175

***

2.
Starting from a PBE-relaxed structure, the X-ray diffraction stick pattern of Hg5Sb2Pb3 was simulated for Cu Kα (λ = 1.5418 Å).
Neutral-atom scattering factors, no anomalous dispersion.

```
data_Hg5Sb2Pb3
_chemical_formula_sum 'Hg10 Sb4 Pb6'
_symmetry_space_group_name_H-M 'P -1'
_symmetry_Int_Tables_number 2
_symmetry_space_group_name_Hall '-P 1'
_cell_length_a 7.718
_cell_length_b 9.419
_cell_length_c 9.531
_cell_angle_alpha 106.79
_cell_angle_beta 108.27
_cell_angle_gamma 101.98
loop_
_atom_site_label
_atom_site_fract_x
_atom_site_fract_y
_atom_site_fract_z
Hg1 0.100 0.341 0.364
Hg2 0.204 0.476 0.727
Hg3 0.255 0.983 0.778
Hg4 0.307 0.803 0.015
Hg5 0.399 0.232 0.626
Sb1 0.143 0.581 0.171
Sb2 0.196 0.089 0.154
Pb1 0.098 0.896 0.366
Pb2 0.345 0.340 0.024
Pb3 0.370 0.719 0.591
```

The 6 most intense peaks (15° ≤ 2θ ≤ 90°), by intensity:
- (1 -4 1), d = 2.343 Å, 38.42 deg, I 1000
- (1 2 -3), d = 2.871 Å, 31.15 deg, I 960
- (0 2 2), d = 2.540 Å, 35.34 deg, I 857
- (-2 2 2), d = 2.683 Å, 33.39 deg, I 808
- (0 2 -3), d = 2.893 Å, 30.91 deg, I 785
- (2 0 1), d = 2.826 Å, 31.67 deg, I 619

***

3.
Starting from a PBE-relaxed structure, the X-ray diffraction stick pattern of Hg4SbPb4 was simulated for Cu Kα (λ = 1.5418 Å).
Neutral-atom scattering factors, no anomalous dispersion.

```
data_Hg4SbPb4
_chemical_formula_sum 'Hg8 Sb2 Pb8'
_symmetry_space_group_name_H-M 'I 4/m m m'
_symmetry_Int_Tables_number 139
_symmetry_space_group_name_Hall '-I 4 2'
_cell_length_a 11.077
_cell_length_b 11.077
_cell_length_c 4.224
_cell_angle_alpha 90.00
_cell_angle_beta 90.00
_cell_angle_gamma 90.00
loop_
_atom_site_label
_atom_site_fract_x
_atom_site_fract_y
_atom_site_fract_z
Hg1 0.000 0.340 0.000
Sb1 0.000 0.000 0.000
Pb1 0.161 0.161 0.500
```

The 6 most intense peaks (15° ≤ 2θ ≤ 90°), by intensity:
- (3 0 1), d = 2.780 Å, 32.20 deg, I 1000
- (3 3 0), d = 2.611 Å, 34.35 deg, I 419
- (6 3 1), d = 1.538 Å, 60.17 deg, I 336
- (3 3 2), d = 1.642 Å, 56.01 deg, I 212
- (6 0 0), d = 1.846 Å, 49.36 deg, I 151
- (6 0 2), d = 1.390 Å, 67.37 deg, I 121

***

4.
Starting from a PBE-relaxed structure, the X-ray diffraction stick pattern of HgPbSe2 was simulated for Cu Kα (λ = 1.5418 Å).
Neutral-atom scattering factors, no anomalous dispersion.

```
data_HgPbSe2
_chemical_formula_sum 'Hg3 Pb3 Se6'
_symmetry_space_group_name_H-M 'P 32 2 1'
_symmetry_Int_Tables_number 154
_symmetry_space_group_name_Hall 'P 32 2"'
_cell_length_a 4.7625
_cell_length_b 4.7625
_cell_length_c 23.4917
_cell_angle_alpha 90.00
_cell_angle_beta 90.00
_cell_angle_gamma 120.00
loop_
_atom_site_label
_atom_site_fract_x
_atom_site_fract_y
_atom_site_fract_z
Hg1 0.0000 0.3350 0.3333
Pb1 0.0000 0.3290 0.8333
Se1 0.0041 0.3374 0.4383
```

The 6 most intense peaks (15° ≤ 2θ ≤ 90°), by intensity:
- (1 0 2), d = 3.892 Å, 22.85 deg, I 1000
- (1 1 0), d = 2.381 Å, 37.78 deg, I 452
- (1 0 8), d = 2.392 Å, 37.60 deg, I 346
- (0 2 2), d = 2.033 Å, 44.57 deg, I 338
- (0 1 10), d = 2.041 Å, 44.38 deg, I 280
- (0 1 4), d = 3.375 Å, 26.41 deg, I 246

***

5.
Starting from a PBE-relaxed structure, the X-ray diffraction stick pattern of HgPb3Se4 was simulated for Cu Kα (λ = 1.5418 Å).
Neutral-atom scattering factors, no anomalous dispersion.

```
data_HgPb3Se4
_chemical_formula_sum 'Hg3 Pb9 Se12'
_symmetry_space_group_name_H-M 'R 3 m'
_symmetry_Int_Tables_number 160
_symmetry_space_group_name_Hall 'R 3 -2"'
_cell_length_a 4.4147
_cell_length_b 4.4147
_cell_length_c 52.9448
_cell_angle_alpha 90.00
_cell_angle_beta 90.00
_cell_angle_gamma 120.00
loop_
_atom_site_label
_atom_site_fract_x
_atom_site_fract_y
_atom_site_fract_z
Hg1 0.0000 0.0000 0.0000
Pb1 0.0000 0.0000 0.2557
Pb2 0.0000 0.0000 0.5012
Pb3 0.0000 0.0000 0.7465
Se1 0.0000 0.0000 0.0538
Se2 0.0000 0.0000 0.3179
Se3 0.0000 0.0000 0.5623
Se4 0.0000 0.0000 0.8078
```

The 6 most intense peaks (15° ≤ 2θ ≤ 90°), by intensity:
- (1 0 4), d = 3.673 Å, 24.23 deg, I 1000
- (1 0 16), d = 2.502 Å, 35.89 deg, I 500
- (1 1 0), d = 2.207 Å, 40.88 deg, I 448
- (0 0 12), d = 4.412 Å, 20.13 deg, I 392
- (1 1 12), d = 1.974 Å, 45.98 deg, I 300
- (0 1 8), d = 3.311 Å, 26.93 deg, I 238

***

6.
Starting from a PBE-relaxed structure, the X-ray diffraction stick pattern of HgPb5Se6 was simulated for Cu Kα (λ = 1.5418 Å).
Neutral-atom scattering factors, no anomalous dispersion.

```
data_HgPb5Se6
_chemical_formula_sum 'Hg2 Pb10 Se12'
_symmetry_space_group_name_H-M 'C 1 2/m 1'
_symmetry_Int_Tables_number 12
_symmetry_space_group_name_Hall '-C 2y'
_cell_length_a 7.535
_cell_length_b 12.989
_cell_length_c 7.562
_cell_angle_alpha 90.00
_cell_angle_beta 109.81
_cell_angle_gamma 90.00
loop_
_atom_site_label
_atom_site_fract_x
_atom_site_fract_y
_atom_site_fract_z
Hg1 0.000 0.000 0.000
Pb1 0.000 0.167 0.500
Pb2 0.000 0.334 0.000
Pb3 0.000 0.500 0.500
Se1 0.239 0.160 0.240
Se2 0.242 0.000 0.748
```

The 6 most intense peaks (15° ≤ 2θ ≤ 90°), by intensity:
- (1 3 1), d = 3.065 Å, 29.13 deg, I 1000
- (3 3 -1), d = 2.172 Å, 41.59 deg, I 578
- (2 0 0), d = 3.548 Å, 25.10 deg, I 542
- (2 0 -2), d = 3.088 Å, 28.91 deg, I 513
- (1 3 -3), d = 2.178 Å, 41.45 deg, I 391
- (2 6 -2), d = 1.772 Å, 51.56 deg, I 310

***

7.
Starting from a PBE-relaxed structure, the X-ray diffraction stick pattern of TlHgPbSe was simulated for Cu Kα (λ = 1.5418 Å).
Neutral-atom scattering factors, no anomalous dispersion.

```
data_TlHgPbSe
_chemical_formula_sum 'Tl6 Hg6 Pb6 Se6'
_symmetry_space_group_name_H-M 'R -3 m'
_symmetry_Int_Tables_number 166
_symmetry_space_group_name_Hall '-R 3 2"'
_cell_length_a 5.1460
_cell_length_b 5.1460
_cell_length_c 36.0383
_cell_angle_alpha 90.00
_cell_angle_beta 90.00
_cell_angle_gamma 120.00
loop_
_atom_site_label
_atom_site_fract_x
_atom_site_fract_y
_atom_site_fract_z
Tl1 0.0000 0.0000 0.1063
Hg1 0.0000 0.0000 0.1940
Pb1 0.0000 0.0000 0.2930
Se1 0.0000 0.0000 0.3768
```

The 6 most intense peaks (15° ≤ 2θ ≤ 90°), by intensity:
- (1 1 0), d = 2.573 Å, 34.87 deg, I 1000
- (1 0 10), d = 2.802 Å, 31.94 deg, I 857
- (0 1 2), d = 4.326 Å, 20.53 deg, I 614
- (1 1 12), d = 1.954 Å, 46.48 deg, I 322
- (2 1 10), d = 1.526 Å, 60.69 deg, I 283
- (0 2 10), d = 1.895 Å, 48.00 deg, I 282

***

8.
Starting from a PBE-relaxed structure, the X-ray diffraction stick pattern of SiHgPb2 was simulated for Cu Kα (λ = 1.5418 Å).
Neutral-atom scattering factors, no anomalous dispersion.

```
data_SiHgPb2
_chemical_formula_sum 'Si2 Hg2 Pb4'
_symmetry_space_group_name_H-M 'C m m 2'
_symmetry_Int_Tables_number 35
_symmetry_space_group_name_Hall 'C 2 -2'
_cell_length_a 4.335
_cell_length_b 5.133
_cell_length_c 9.413
_cell_angle_alpha 90.00
_cell_angle_beta 90.00
_cell_angle_gamma 90.00
loop_
_atom_site_label
_atom_site_fract_x
_atom_site_fract_y
_atom_site_fract_z
Si1 0.000 0.000 0.000
Hg1 0.000 0.500 0.802
Pb1 0.000 0.000 0.536
Pb2 0.000 0.500 0.232
```

The 6 most intense peaks (15° ≤ 2θ ≤ 90°), by intensity:
- (1 1 2), d = 2.708 Å, 33.08 deg, I 1000
- (1 1 1), d = 3.124 Å, 28.57 deg, I 284
- (0 2 0), d = 2.566 Å, 34.96 deg, I 249
- (0 0 3), d = 3.138 Å, 28.45 deg, I 182
- (1 1 5), d = 1.637 Å, 56.20 deg, I 175
- (1 3 2), d = 1.508 Å, 61.51 deg, I 173